Record 1
For TmTlBiSe3, a DFT-relaxed cell (GGA-PBE, OQMD) gives the theoretical X-ray powder pattern in this record (Cu Kα).

Principal peaks in the range 10° ≤ 2θ ≤ 80°, by angle:
| Position (°2θ) | d/Å | I/Imax |
| --- | --- | --- |
| 22.4 | 3.963 | 22 |
| 26.8 | 3.326 | 37 |
| 28.0 | 3.181 | 100 |
| 30.8 | 2.899 | 41 |
| 35.0 | 2.560 | 23 |
| 41.3 | 2.186 | 28 |
| 43.0 | 2.102 | 18 |
| 44.6 | 2.030 | 25 |
| 46.1 | 1.968 | 16 |
| 55.2 | 1.663 | 17 |

Structure:
Cell lengths 9.1560, 9.1560, 10.2619 Å; angles 102.72, 102.72, 25.62 degrees
Atoms (fractional coordinates):
Tm1 0.1723 0.1723 0.0793
Tm2 0.8277 0.8277 0.9207
Tl1 0.1383 0.1383 0.5669
Tl2 0.8617 0.8617 0.4331
Bi1 0.4879 0.4879 0.7748
Bi2 0.5121 0.5121 0.2252
Se1 0.0000 0.0000 0.0000
Se2 0.3272 0.3272 0.7257
Se3 0.3320 0.3320 0.1170
Se4 0.5000 0.5000 0.5000
Se5 0.6680 0.6680 0.8830
Se6 0.6728 0.6728 0.2743

***

Record 2
For Zn4Ga3, a DFT-relaxed cell (GGA-PBE, OQMD) gives the theoretical X-ray powder pattern in this record (Cu Kα).

Principal peaks in the range 10° ≤ 2θ ≤ 80°, by angle:
| Position (°2θ) | d/Å | I/Imax |
| --- | --- | --- |
| 36.6 | 2.455 | 24 |
| 37.8 | 2.382 | 29 |
| 41.4 | 2.182 | 100 |
| 53.6 | 1.709 | 15 |
| 65.9 | 1.417 | 15 |
| 70.7 | 1.333 | 19 |
| 77.8 | 1.228 | 2 |
| 78.5 | 1.218 | 18 |

Structure:
Cell lengths 7.5006, 7.5006, 4.7634 Å; angles 90.00, 90.00, 120.00 degrees
Atoms (fractional coordinates):
Zn1 0.0523 0.2347 0.2500
Zn2 0.1824 0.9477 0.2500
Zn3 0.2347 0.1824 0.7500
Zn4 0.3333 0.6667 0.2500
Zn5 0.6667 0.3333 0.7500
Zn6 0.7653 0.8176 0.2500
Zn7 0.8176 0.0523 0.7500
Zn8 0.9477 0.7653 0.7500
Ga1 0.0938 0.4679 0.7500
Ga2 0.3741 0.9062 0.7500
Ga3 0.4679 0.3741 0.2500
Ga4 0.5321 0.6259 0.7500
Ga5 0.6259 0.0938 0.2500
Ga6 0.9062 0.5321 0.2500

***

Record 3
For PrB12, a DFT-relaxed cell (GGA-PBE, OQMD) gives the theoretical X-ray powder pattern in this record (Cu Kα).

Principal peaks in the range 10° ≤ 2θ ≤ 80°, by angle:
| Position (°2θ) | d/Å | I/Imax |
| --- | --- | --- |
| 20.3 | 4.373 | 86 |
| 23.5 | 3.787 | 71 |
| 33.5 | 2.678 | 39 |
| 39.5 | 2.284 | 100 |
| 41.3 | 2.187 | 30 |
| 52.7 | 1.738 | 32 |
| 54.1 | 1.694 | 22 |
| 59.8 | 1.546 | 28 |
| 74.0 | 1.280 | 30 |
| 75.3 | 1.262 | 21 |

Structure:
Cell lengths 5.3563, 5.3563, 5.3563 Å; angles 60.00, 60.00, 60.00 degrees
Atoms (fractional coordinates):
Pr1 0.0000 0.0000 0.0000
B1 0.1633 0.5000 0.5000
B2 0.1633 0.5000 0.8367
B3 0.1633 0.8367 0.5000
B4 0.5000 0.1633 0.5000
B5 0.5000 0.1633 0.8367
B6 0.5000 0.5000 0.1633
B7 0.5000 0.5000 0.8367
B8 0.5000 0.8367 0.1633
B9 0.5000 0.8367 0.5000
B10 0.8367 0.1633 0.5000
B11 0.8367 0.5000 0.1633
B12 0.8367 0.5000 0.5000

***

Record 4
For LuSiH2O4, a DFT-relaxed cell (GGA-PBE, OQMD) gives the theoretical X-ray powder pattern in this record (Cu Kα).

Principal peaks in the range 10° ≤ 2θ ≤ 80°, by angle:
| Position (°2θ) | d/Å | I/Imax |
| --- | --- | --- |
| 18.9 | 4.692 | 63 |
| 21.0 | 4.235 | 88 |
| 25.3 | 3.517 | 100 |
| 27.2 | 3.274 | 39 |
| 27.9 | 3.194 | 33 |
| 31.2 | 2.868 | 44 |
| 32.3 | 2.775 | 37 |
| 37.7 | 2.389 | 39 |
| 43.1 | 2.100 | 31 |
| 48.0 | 1.896 | 26 |

Structure:
Cell lengths 4.9394, 5.5520, 6.8941 Å; angles 90.00, 108.23, 90.00 degrees
Atoms (fractional coordinates):
Lu1 0.9997 0.2500 0.2386
Lu2 0.0003 0.7500 0.7614
Si1 0.2671 0.2500 0.6903
Si2 0.7329 0.7500 0.3097
H1 0.3792 0.7500 0.4768
H2 0.5000 0.0000 0.0000
H3 0.5000 0.5000 0.0000
H4 0.6208 0.2500 0.5232
O1 0.0668 0.7500 0.4490
O2 0.3547 0.0032 0.8248
O3 0.3547 0.4968 0.8248
O4 0.4034 0.2500 0.4974
O5 0.5966 0.7500 0.5026
O6 0.6453 0.5032 0.1752
O7 0.6453 0.9968 0.1752
O8 0.9332 0.2500 0.5510

***

Record 5
For Sc4CuN3, a DFT-relaxed cell (GGA-PBE, OQMD) gives the theoretical X-ray powder pattern in this record (Cu Kα).

Principal peaks in the range 10° ≤ 2θ ≤ 80°, by angle:
| Position (°2θ) | d/Å | I/Imax |
| --- | --- | --- |
| 32.6 | 2.748 | 34 |
| 35.8 | 2.508 | 30 |
| 37.6 | 2.390 | 97 |
| 37.9 | 2.373 | 28 |
| 39.8 | 2.267 | 100 |
| 53.9 | 1.701 | 22 |
| 57.7 | 1.597 | 47 |
| 71.0 | 1.328 | 12 |
| 71.1 | 1.325 | 24 |
| 72.3 | 1.306 | 24 |

Structure:
Cell lengths 3.1947, 3.1947, 23.7336 Å; angles 90.00, 90.00, 120.00 degrees
Atoms (fractional coordinates):
Sc1 0.0000 0.0000 0.1606
Sc2 0.0000 0.0000 0.3394
Sc3 0.0000 0.0000 0.6606
Sc4 0.0000 0.0000 0.8394
Sc5 0.3333 0.6667 0.0534
Sc6 0.3333 0.6667 0.4466
Sc7 0.6667 0.3333 0.5534
Sc8 0.6667 0.3333 0.9466
Cu1 0.3333 0.6667 0.2500
Cu2 0.6667 0.3333 0.7500
N1 0.0000 0.0000 0.0000
N2 0.0000 0.0000 0.5000
N3 0.3333 0.6667 0.6116
N4 0.3333 0.6667 0.8884
N5 0.6667 0.3333 0.1116
N6 0.6667 0.3333 0.3884

***

Record 6
For DyIr3C3, a DFT-relaxed cell (GGA-PBE, OQMD) gives the theoretical X-ray powder pattern in this record (Cu Kα).

Principal peaks in the range 10° ≤ 2θ ≤ 80°, by angle:
| Position (°2θ) | d/Å | I/Imax |
| --- | --- | --- |
| 32.0 | 2.798 | 46 |
| 33.9 | 2.648 | 69 |
| 36.3 | 2.474 | 30 |
| 39.3 | 2.293 | 100 |
| 42.7 | 2.118 | 17 |
| 54.1 | 1.696 | 43 |
| 64.2 | 1.450 | 16 |
| 65.3 | 1.428 | 11 |
| 68.9 | 1.364 | 52 |
| 74.6 | 1.272 | 13 |

Structure:
Cell lengths 3.3924, 3.3924, 18.3408 Å; angles 90.00, 90.00, 120.00 degrees
Atoms (fractional coordinates):
Dy1 0.0000 0.0000 0.0000
Dy2 0.0000 0.0000 0.5000
Ir1 0.3333 0.6667 0.1290
Ir2 0.3333 0.6667 0.3710
Ir3 0.3333 0.6667 0.7500
Ir4 0.6667 0.3333 0.2500
Ir5 0.6667 0.3333 0.6290
Ir6 0.6667 0.3333 0.8710
C1 0.3333 0.6667 0.2500
C2 0.3333 0.6667 0.5881
C3 0.3333 0.6667 0.9119
C4 0.6667 0.3333 0.0881
C5 0.6667 0.3333 0.4119
C6 0.6667 0.3333 0.7500

***

Record 7
For Rb2AgI3, a DFT-relaxed cell (GGA-PBE, OQMD) gives the theoretical X-ray powder pattern in this record (Cu Kα).

Principal peaks in the range 10° ≤ 2θ ≤ 80°, by angle:
| Position (°2θ) | d/Å | I/Imax |
| --- | --- | --- |
| 12.2 | 7.229 | 33 |
| 23.7 | 3.762 | 39 |
| 25.3 | 3.520 | 87 |
| 26.5 | 3.369 | 100 |
| 26.7 | 3.342 | 61 |
| 27.3 | 3.267 | 37 |
| 29.9 | 2.993 | 51 |
| 36.4 | 2.470 | 65 |
| 41.7 | 2.166 | 35 |
| 43.9 | 2.063 | 34 |

Structure:
Cell lengths 10.3590, 4.9405, 20.1874 Å; angles 90.00, 90.00, 90.00 degrees
Atoms (fractional coordinates):
Rb1 0.0770 0.2500 0.2108
Rb2 0.2481 0.7500 0.4574
Rb3 0.2519 0.2500 0.9574
Rb4 0.4230 0.7500 0.7108
Rb5 0.5770 0.2500 0.2892
Rb6 0.7481 0.7500 0.0426
Rb7 0.7519 0.2500 0.5426
Rb8 0.9230 0.7500 0.7892
Ag1 0.1353 0.2500 0.6356
Ag2 0.3647 0.7500 0.1356
Ag3 0.6353 0.2500 0.8644
Ag4 0.8647 0.7500 0.3644
I1 0.0026 0.7500 0.6010
I2 0.1188 0.7500 0.0705
I3 0.1887 0.2500 0.7755
I4 0.3113 0.7500 0.2755
I5 0.3812 0.2500 0.5705
I6 0.4974 0.2500 0.1010
I7 0.5026 0.7500 0.8990
I8 0.6188 0.7500 0.4295
I9 0.6887 0.2500 0.7245
I10 0.8113 0.7500 0.2245
I11 0.8812 0.2500 0.9295
I12 0.9974 0.2500 0.3990

***

Record 8
For HfCu2TeSeS, a DFT-relaxed cell (GGA-PBE, OQMD) gives the theoretical X-ray powder pattern in this record (Cu Kα).

Principal peaks in the range 10° ≤ 2θ ≤ 80°, by angle:
| Position (°2θ) | d/Å | I/Imax |
| --- | --- | --- |
| 12.5 | 7.075 | 100 |
| 14.2 | 6.245 | 24 |
| 20.4 | 4.355 | 28 |
| 26.6 | 3.347 | 62 |
| 30.6 | 2.926 | 60 |
| 33.5 | 2.678 | 29 |
| 38.7 | 2.329 | 25 |
| 40.2 | 2.244 | 33 |
| 44.4 | 2.041 | 58 |
| 46.4 | 1.959 | 31 |

Structure:
Cell lengths 10.0051, 10.0051, 7.1820 Å; angles 99.73, 99.73, 22.58 degrees
Atoms (fractional coordinates):
Hf1 0.1398 0.1398 0.0448
Hf2 0.8602 0.8602 0.9552
Cu1 0.2072 0.2072 0.4276
Cu2 0.4527 0.4527 0.8356
Cu3 0.5473 0.5473 0.1644
Cu4 0.7928 0.7928 0.5724
Te1 0.2497 0.2497 0.7857
Te2 0.7503 0.7503 0.2143
Se1 0.4210 0.4210 0.1653
Se2 0.5790 0.5790 0.8347
S1 0.0878 0.0878 0.3249
S2 0.9122 0.9122 0.6751

***

Record 9
For Nd2Zr2O7, a DFT-relaxed cell (GGA-PBE, OQMD) gives the theoretical X-ray powder pattern in this record (Cu Kα).

Principal peaks in the range 10° ≤ 2θ ≤ 80°, by angle:
| Position (°2θ) | d/Å | I/Imax |
| --- | --- | --- |
| 14.3 | 6.177 | 4 |
| 28.9 | 3.088 | 100 |
| 33.5 | 2.675 | 31 |
| 36.6 | 2.454 | 6 |
| 44.0 | 2.059 | 2 |
| 48.1 | 1.891 | 49 |
| 57.1 | 1.613 | 43 |
| 59.9 | 1.544 | 10 |
| 70.4 | 1.337 | 7 |
| 77.8 | 1.227 | 17 |

Structure:
Cell lengths 7.5648, 7.5648, 7.5648 Å; angles 60.00, 60.00, 60.00 degrees
Atoms (fractional coordinates):
Nd1 0.0000 0.0000 0.0000
Nd2 0.0000 0.0000 0.5000
Nd3 0.0000 0.5000 0.0000
Nd4 0.5000 0.0000 0.0000
Zr1 0.0000 0.5000 0.5000
Zr2 0.5000 0.0000 0.5000
Zr3 0.5000 0.5000 0.0000
Zr4 0.5000 0.5000 0.5000
O1 0.1250 0.1250 0.1250
O2 0.1635 0.1635 0.5865
O3 0.1635 0.5865 0.1635
O4 0.1635 0.5865 0.5865
O5 0.4135 0.4135 0.8365
O6 0.4135 0.8365 0.4135
O7 0.4135 0.8365 0.8365
O8 0.5865 0.1635 0.1635
O9 0.5865 0.1635 0.5865
O10 0.5865 0.5865 0.1635
O11 0.8365 0.4135 0.4135
O12 0.8365 0.4135 0.8365
O13 0.8365 0.8365 0.4135
O14 0.8750 0.8750 0.8750

***

Record 10
For PrOF, a DFT-relaxed cell (GGA-PBE, OQMD) gives the theoretical X-ray powder pattern in this record (Cu Kα).

Principal peaks in the range 10° ≤ 2θ ≤ 80°, by angle:
| Position (°2θ) | d/Å | I/Imax |
| --- | --- | --- |
| 27.4 | 3.258 | 100 |
| 31.6 | 2.830 | 17 |
| 31.9 | 2.804 | 10 |
| 45.3 | 2.001 | 17 |
| 45.5 | 1.992 | 37 |
| 53.7 | 1.707 | 13 |
| 53.8 | 1.704 | 13 |
| 54.1 | 1.694 | 15 |
| 56.5 | 1.629 | 7 |
| 73.2 | 1.293 | 7 |

Structure:
Cell lengths 11.2167, 5.6680, 11.3055 Å; angles 90.00, 90.04, 90.00 degrees
Atoms (fractional coordinates):
Pr1 0.1244 0.2437 0.2382
Pr2 0.1244 0.2563 0.7382
Pr3 0.1254 0.7154 0.0126
Pr4 0.1254 0.7846 0.5126
Pr5 0.3746 0.2154 0.0126
Pr6 0.3746 0.2846 0.5126
Pr7 0.3758 0.7437 0.2382
Pr8 0.3758 0.7563 0.7382
Pr9 0.6242 0.2437 0.2618
Pr10 0.6242 0.2563 0.7618
Pr11 0.6254 0.7154 0.4874
Pr12 0.6254 0.7846 0.9874
Pr13 0.8746 0.2154 0.4874
Pr14 0.8746 0.2846 0.9874
Pr15 0.8756 0.7437 0.2618
Pr16 0.8756 0.7563 0.7618
O1 0.0041 0.5053 0.8681
O2 0.0041 0.9947 0.3681
O3 0.2424 0.5130 0.6250
O4 0.2424 0.9870 0.1250
O5 0.2576 0.0130 0.6251
O6 0.2576 0.4870 0.1251
O7 0.4959 0.0052 0.8681
O8 0.4959 0.4948 0.3681
O9 0.5041 0.5052 0.6319
O10 0.5041 0.9948 0.1319
O11 0.7424 0.5130 0.8749
O12 0.7424 0.9870 0.3749
O13 0.7576 0.0130 0.8750
O14 0.7576 0.4870 0.3750
O15 0.9959 0.0053 0.6319
O16 0.9959 0.4947 0.1319
F1 0.0071 0.0054 0.8837
F2 0.0071 0.4946 0.3837
F3 0.2417 0.5041 0.3748
F4 0.2417 0.9959 0.8748
F5 0.2582 0.0038 0.3749
F6 0.2582 0.4962 0.8749
F7 0.4930 0.5051 0.8837
F8 0.4930 0.9949 0.3837
F9 0.5070 0.0051 0.6163
F10 0.5070 0.4949 0.1163
F11 0.7418 0.5038 0.1251
F12 0.7418 0.9962 0.6251
F13 0.7583 0.0041 0.1252
F14 0.7583 0.4959 0.6252
F15 0.9929 0.5054 0.6163
F16 0.9929 0.9946 0.1163